Li7Co5O12: computed X-ray powder pattern (copper Kα), based on a structure optimized by DFT (PBE+U).

Structural model:
```
24
Lattice="2.900 0.000 0.000 -0.179 5.112 0.000 -0.990 -2.531 14.448" Properties=species:S:1:pos:R:3 pbc="T T T"
Li 0.000 0.000 0.000
Li -0.071 3.387 2.323
Li 0.188 0.004 7.223
Li 0.240 1.770 12.096
Li 1.491 0.811 2.353
Li 1.542 2.577 7.225
Li 1.802 -0.806 12.125
Co 0.062 1.706 4.800
Co 0.305 -1.681 9.662
Co 1.360 2.556 0.000
Co 1.425 4.262 4.786
Co 1.668 0.875 9.649
O -0.082 1.796 1.050
O 0.047 -0.040 3.659
O 0.075 3.462 5.905
O 0.109 1.696 8.534
O 0.323 0.069 10.753
O 0.387 -1.444 13.406
O 1.344 4.025 1.043
O 1.408 2.512 3.695
O 1.621 0.885 5.915
O 1.656 -0.881 8.543
O 1.683 2.621 10.789
O 1.812 0.785 13.399
```

Main lines, by angle (10 to 90 degrees two-theta):
two_theta  I_rel
12.3  8
17.6  11
18.4  100
35.5  15
35.7  15
36.9  12
37.3  9
42.9  30
43.3  29
44.8  26
62.2  8
62.9  8



Ba3MnO5: computed X-ray powder pattern (copper Kα), based on a structure optimized by DFT (PBE+U).

Structural model:
```
18
Lattice="-3.666 3.666 6.052 3.666 -3.666 6.052 3.666 3.666 -6.052" Properties=species:S:1:pos:R:3 pbc="T T T"
Ba 4.975 1.308 0.000
Ba 0.000 0.000 3.026
Ba 1.308 2.358 0.000
Ba 2.358 1.308 6.052
Ba 0.000 0.000 9.078
Ba -1.308 2.358 6.052
Mn 3.666 0.000 3.026
Mn 0.000 3.666 3.026
O 0.000 0.000 0.000
O 4.624 -0.958 1.832
O 2.709 -0.958 4.220
O 2.709 0.958 1.832
O 4.624 0.958 4.220
O 0.000 0.000 6.052
O -0.958 2.709 1.832
O 0.958 2.709 4.220
O 0.958 4.624 1.832
O -0.958 4.624 4.220
```

Main lines, by angle (10 to 90 degrees two-theta):
two_theta  I_rel
22.6  14
28.2  45
28.5  100
29.5  35
34.6  25
35.3  55
38.8  22
46.1  22
46.6  15
51.7  19
52.0  17
56.6  14



MgFe4Hg2O8: computed X-ray powder pattern (copper Kα), based on a structure optimized by DFT (PBE+U).

Structural model:
```
15
Lattice="3.044 1.757 5.807 -3.044 1.757 5.807 0.000 -3.515 5.807" Properties=species:S:1:pos:R:3 pbc="T T T"
Mg 0.000 0.000 0.000
Fe -1.522 -0.879 5.807
Fe -1.522 0.879 11.613
Fe 0.000 1.757 5.807
Fe 0.000 0.000 8.710
Hg 0.000 0.000 2.718
Hg 0.000 0.000 14.701
O 0.000 -1.674 6.964
O -1.450 0.837 6.964
O 0.000 0.000 4.840
O -1.450 -0.837 10.455
O 1.450 0.837 6.964
O 0.000 0.000 12.579
O 1.450 -0.837 10.455
O 0.000 1.674 10.455
```

Main lines, by angle (10 to 90 degrees two-theta):
two_theta  I_rel
15.3  15
26.5  27
29.3  55
30.8  25
33.2  100
34.4  24
43.1  38
50.4  31
54.6  25
56.3  18
60.9  22
69.8  15